Structure and calculated X-ray diffraction stick pattern of Dy4Th5Sc (DFT lattice parameters and positions (PBE); Cu Kα X-rays).
Intensities are scaled so that the largest is 100.

Structure:
```
Dy4Th5Sc
1.0
8.720 -1.710 0.000
8.720 1.710 0.000
-3.325 0.000 10.571
Dy Th Sc
4 5 1
Cartesian
0.579 0.000 3.296
3.941 0.000 4.347
10.175 0.000 6.224
13.537 0.000 7.275
-0.759 0.000 8.352
3.118 0.000 0.993
8.720 0.000 0.000
10.997 0.000 9.577
14.875 0.000 2.219
7.058 0.000 5.285
```

Top 8 peaks for 2θ = 15–90°, sorted by position:
- 2.927 Å, I 75
- 2.910 Å, I 87
- 2.876 Å, I 100
- 2.829 Å, I 91
- 2.770 Å, I 86
- 2.385 Å, I 30
- 2.358 Å, I 43
- 1.470 Å, I 27

Structure and calculated X-ray diffraction stick pattern of SmErIn2 (DFT lattice parameters and positions (PBE); Cu Kα X-rays).
Intensities are scaled so that the largest is 100.

Structure:
```
SmErIn2
1.0
5.345 0.000 0.000
0.000 5.345 0.000
0.000 0.000 3.787
Sm Er In
1 1 2
Cartesian
0.000 0.000 0.000
2.672 2.672 0.000
0.000 2.672 1.894
2.672 0.000 1.894
```

Top 8 peaks for 2θ = 15–90°, sorted by position:
- 2.674 Å, I 100
- 1.894 Å, I 6
- 1.890 Å, I 12
- 1.544 Å, I 37
- 1.337 Å, I 11
- 1.197 Å, I 5
- 1.195 Å, I 11
- 1.092 Å, I 4

What did the second record say?
Structure and calculated X-ray diffraction stick pattern of SmErIn2 (DFT lattice parameters and positions (PBE); Cu Kα X-rays).
Intensities are scaled so that the largest is 100.

Structure:
```
SmErIn2
1.0
5.345 0.000 0.000
0.000 5.345 0.000
0.000 0.000 3.787
Sm Er In
1 1 2
Cartesian
0.000 0.000 0.000
2.672 2.672 0.000
0.000 2.672 1.894
2.672 0.000 1.894
```

Top 8 peaks for 2θ = 15–90°, sorted by position:
- 2.674 Å, I 100
- 1.894 Å, I 6
- 1.890 Å, I 12
- 1.544 Å, I 37
- 1.337 Å, I 11
- 1.197 Å, I 5
- 1.195 Å, I 11
- 1.092 Å, I 4